Starting from the GGA-PBE geometry in the Materials Project, the powder diffractogram of YAlSi was simulated for Cu Kα X-rays.

Structure:
```
data_YAlSi
_cell_length_a 4.0135
_cell_length_b 10.3247
_cell_length_c 5.7151
_cell_angle_alpha 90.00
_cell_angle_beta 90.00
_cell_angle_gamma 90.00
_space_group_name_H-M_alt 'C m c m'
_space_group_IT_number 63
_space_group_name_Hall '-C 2c 2'
loop_
_atom_site_label
_atom_site_fract_x
_atom_site_fract_y
_atom_site_fract_z
Y1 0.0000 0.1944 0.2500
Al1 0.0000 0.5000 0.0000
Si1 0.0000 0.0993 0.7500
```

Principal peaks in the range 10 to 90 degrees two-theta, low angle first:
- 2θ 28.52, I 100
- 2θ 34.32, I 85
- 2θ 35.92, I 44
- 2θ 37.86, I 52
- 2θ 38.26, I 54
- 2θ 39.69, I 57